# 1
Diffraction record for HoTlO2. The XRD peak list is calculated, not measured: it uses a DFT-relaxed cell (PBE, the Materials Project) and Cu Kα (λ = 1.5418 Å).
Lines closer than 0.1° are merged.

Largest 10 diffraction maxima, by angle, 15° ≤ 2θ ≤ 90°:
2θ/deg, Rel. int., (hkl)
27.4, 49, 0 0 6
31.1, 98, 0 1 2
35.0, 100, 1 0 4
48.0, 38, 0 1 8
52.7, 32, 1 1 0
56.2, 23, 1 0 10
60.4, 34, 1 1 6
64.9, 16, 0 2 4
81.0, 15, 1 1 12
86.1, 19, 1 0 16

Structural model:
```
data_HoTlO2
_symmetry_space_group_name_H-M 'R -3 m'
_symmetry_Int_Tables_number 166
_symmetry_space_group_name_Hall '-R 3 2"'
_cell_length_a 3.4743
_cell_length_b 3.4743
_cell_length_c 19.4981
_cell_angle_alpha 90.00
_cell_angle_beta 90.00
_cell_angle_gamma 120.00
loop_
_atom_site_label
_atom_site_fract_x
_atom_site_fract_y
_atom_site_fract_z
_atom_site_occupancy
Ho1 0.0000 0.0000 0.0000 1
Tl1 0.0000 0.0000 0.5000 1
O1 0.0000 0.0000 0.2765 1
```

***

# 2
Diffraction record for Ho2Zr8O19. The XRD peak list is calculated, not measured: it uses a DFT-relaxed cell (PBE, the Materials Project) and Cu Kα (λ = 1.5418 Å).
Lines closer than 0.1° are merged.

Largest 10 diffraction maxima, by angle, 15° ≤ 2θ ≤ 90°:
2θ/deg, Rel. int., (hkl)
28.2, 3, 1 0 4
30.1, 100, 1 0 5
34.9, 25, 1 1 0
50.2, 55, 2 0 0
59.6, 40, 2 1 5
62.6, 7, 2 0 10
73.6, 5, 2 2 0
81.6, 15, 3 0 5
84.1, 3, 3 1 0
84.2, 6, 2 2 10

Structural model:
```
data_Ho2Zr8O19
_symmetry_space_group_name_H-M 'P -4 m 2'
_symmetry_Int_Tables_number 115
_cell_length_a 3.638
_cell_length_b 3.638
_cell_length_c 25.692
_cell_angle_alpha 90.00
_cell_angle_beta 90.00
_cell_angle_gamma 90.00
loop_
_symmetry_equiv_pos_as_xyz
'x,y,z'
'y,-x,-z'
'-x,-y,z'
'-y,x,-z'
'-x,y,z'
'-y,-x,-z'
'x,-y,z'
'y,x,-z'
loop_
_atom_site_label
_atom_site_fract_x
_atom_site_fract_y
_atom_site_fract_z
_atom_site_occupancy
Ho1 0.000 0.500 0.056 1
Zr1 0.000 0.500 0.252 1
Zr2 0.000 0.500 0.450 1
Zr3 0.000 0.500 0.649 1
Zr4 0.000 0.500 0.848 1
O1 0.000 0.000 0.000 1
O2 0.000 0.000 0.109 1
O3 0.000 0.000 0.207 1
O4 0.000 0.000 0.305 1
O5 0.000 0.000 0.403 1
O6 0.000 0.000 0.500 1
O7 0.500 0.500 0.097 1
O8 0.500 0.500 0.197 1
O9 0.500 0.500 0.297 1
O10 0.500 0.500 0.398 1
O11 0.500 0.500 0.500 1
```

***

# 3
Diffraction record for HoOs3. The XRD peak list is calculated, not measured: it uses a DFT-relaxed cell (PBE, the Materials Project) and Cu Kα (λ = 1.5418 Å).
Lines closer than 0.1° are merged.

Largest 10 diffraction maxima, by angle, 15° ≤ 2θ ≤ 90°:
2θ/deg, Rel. int., (hkl)
35.6, 24, 2 0 0
38.9, 26, 0 0 2
40.8, 100, 2 0 1
53.8, 15, 2 0 2
64.0, 17, 2 2 0
71.8, 19, 2 0 3
77.5, 20, 2 2 2
78.7, 14, 4 0 1
83.6, 4, 0 0 4
88.3, 4, 4 0 2

Structural model:
```
data_HoOs3
_symmetry_space_group_name_H-M 'P 63/m m c'
_symmetry_Int_Tables_number 194
_symmetry_space_group_name_Hall '-P 6c 2c'
_cell_length_a 5.8198
_cell_length_b 5.8198
_cell_length_c 4.6250
_cell_angle_alpha 90.00
_cell_angle_beta 90.00
_cell_angle_gamma 120.00
loop_
_atom_site_label
_atom_site_fract_x
_atom_site_fract_y
_atom_site_fract_z
_atom_site_occupancy
Ho1 0.3333 0.6667 0.2500 1
Os1 0.1586 0.3173 0.7500 1
```

***

# 4
Diffraction record for Ho2OsPt. The XRD peak list is calculated, not measured: it uses a DFT-relaxed cell (PBE, the Materials Project) and Cu Kα (λ = 1.5418 Å).
Lines closer than 0.1° are merged.

Largest 5 diffraction maxima, by angle, 15° ≤ 2θ ≤ 90°:
2θ/deg, Rel. int., (hkl)
25.9, 1, 2 0 0
37.0, 100, 2 2 0
53.3, 18, 4 0 0
66.7, 36, 4 2 2
78.8, 11, 4 4 0

Structural model:
```
data_Ho2OsPt
_symmetry_space_group_name_H-M 'F m -3 m'
_symmetry_Int_Tables_number 225
_symmetry_space_group_name_Hall '-F 4 2 3'
_cell_length_a 6.873
_cell_length_b 6.873
_cell_length_c 6.873
_cell_angle_alpha 90.00
_cell_angle_beta 90.00
_cell_angle_gamma 90.00
loop_
_atom_site_label
_atom_site_fract_x
_atom_site_fract_y
_atom_site_fract_z
_atom_site_occupancy
Ho1 0.250 0.250 0.250 1
Os1 0.000 0.000 0.000 1
Pt1 0.000 0.000 0.500 1
```

***

# 5
Diffraction record for HoPuOs2. The XRD peak list is calculated, not measured: it uses a DFT-relaxed cell (PBE, the Materials Project) and Cu Kα (λ = 1.5418 Å).
Lines closer than 0.1° are merged.

Largest 7 diffraction maxima, by angle, 15° ≤ 2θ ≤ 90°:
2θ/deg, Rel. int., (hkl)
22.7, 2, 1 1 1
37.6, 100, 2 2 0
44.4, 1, 3 1 1
54.2, 18, 4 0 0
59.5, 1, 3 3 1
67.8, 36, 4 2 2
80.2, 12, 4 4 0

Structural model:
```
data_HoPuOs2
_symmetry_space_group_name_H-M 'F m -3 m'
_symmetry_Int_Tables_number 225
_symmetry_space_group_name_Hall '-F 4 2 3'
_cell_length_a 6.774
_cell_length_b 6.774
_cell_length_c 6.774
_cell_angle_alpha 90.00
_cell_angle_beta 90.00
_cell_angle_gamma 90.00
loop_
_atom_site_label
_atom_site_fract_x
_atom_site_fract_y
_atom_site_fract_z
_atom_site_occupancy
Ho1 0.000 0.000 0.000 1
Pu1 0.000 0.000 0.500 1
Os1 0.250 0.250 0.250 1
```

***

# 6
Diffraction record for Ho2OsRu. The XRD peak list is calculated, not measured: it uses a DFT-relaxed cell (PBE, the Materials Project) and Cu Kα (λ = 1.5418 Å).
Lines closer than 0.1° are merged.

Largest 9 diffraction maxima, by angle, 15° ≤ 2θ ≤ 90°:
2θ/deg, Rel. int., (hkl)
22.7, 4, 1 1 1
37.5, 100, 2 2 0
44.3, 2, 3 1 1
54.0, 17, 4 0 0
59.3, 1, 3 3 1
67.6, 36, 4 2 2
72.3, 1, 5 1 1
79.9, 11, 4 4 0
84.4, 1, 5 3 1

Structural model:
```
data_Ho2OsRu
_symmetry_space_group_name_H-M 'F m -3 m'
_symmetry_Int_Tables_number 225
_symmetry_space_group_name_Hall '-F 4 2 3'
_cell_length_a 6.788
_cell_length_b 6.788
_cell_length_c 6.788
_cell_angle_alpha 90.00
_cell_angle_beta 90.00
_cell_angle_gamma 90.00
loop_
_atom_site_label
_atom_site_fract_x
_atom_site_fract_y
_atom_site_fract_z
_atom_site_occupancy
Ho1 0.250 0.250 0.250 1
Os1 0.000 0.000 0.000 1
Ru1 0.000 0.000 0.500 1
```

***

# 7
Diffraction record for Ho3Si13Os4. The XRD peak list is calculated, not measured: it uses a DFT-relaxed cell (PBE, the Materials Project) and Cu Kα (λ = 1.5418 Å).
Lines closer than 0.1° are merged.

Largest 10 diffraction maxima, by angle, 15° ≤ 2θ ≤ 90°:
2θ/deg, Rel. int., (hkl)
20.2, 71, 2 0 0
22.6, 56, 2 1 0
28.7, 49, 2 2 0
35.4, 100, 2 2 2
36.8, 50, 3 2 0
41.1, 68, 4 0 0
46.2, 37, 4 2 0
50.9, 41, 4 2 2
59.5, 34, 4 4 0
71.1, 45, 6 2 2

Structural model:
```
data_Ho3Si13Os4
_symmetry_space_group_name_H-M 'P m -3 n'
_symmetry_Int_Tables_number 223
_symmetry_space_group_name_Hall '-P 4n 2 3'
_cell_length_a 8.795
_cell_length_b 8.795
_cell_length_c 8.795
_cell_angle_alpha 90.00
_cell_angle_beta 90.00
_cell_angle_gamma 90.00
loop_
_atom_site_label
_atom_site_fract_x
_atom_site_fract_y
_atom_site_fract_z
_atom_site_occupancy
Ho1 0.000 0.250 0.500 1
Si1 0.000 0.000 0.000 1
Si2 0.000 0.281 0.138 1
Os1 0.250 0.250 0.250 1
```

***

# 8
Diffraction record for HoThOs2. The XRD peak list is calculated, not measured: it uses a DFT-relaxed cell (PBE, the Materials Project) and Cu Kα (λ = 1.5418 Å).
Lines closer than 0.1° are merged.

Largest 7 diffraction maxima, by angle, 15° ≤ 2θ ≤ 90°:
2θ/deg, Rel. int., (hkl)
22.1, 1, 1 1 1
36.4, 100, 2 2 0
43.0, 1, 3 1 1
52.5, 18, 4 0 0
65.6, 37, 4 2 2
77.4, 12, 4 4 0
88.7, 17, 6 2 0

Structural model:
```
data_HoThOs2
_symmetry_space_group_name_H-M 'F m -3 m'
_symmetry_Int_Tables_number 225
_symmetry_space_group_name_Hall '-F 4 2 3'
_cell_length_a 6.974
_cell_length_b 6.974
_cell_length_c 6.974
_cell_angle_alpha 90.00
_cell_angle_beta 90.00
_cell_angle_gamma 90.00
loop_
_atom_site_label
_atom_site_fract_x
_atom_site_fract_y
_atom_site_fract_z
_atom_site_occupancy
Ho1 0.000 0.000 0.000 1
Th1 0.000 0.000 0.500 1
Os1 0.250 0.250 0.250 1
```

***

# 9
Diffraction record for Ho2ZnOs. The XRD peak list is calculated, not measured: it uses a DFT-relaxed cell (PBE, the Materials Project) and Cu Kα (λ = 1.5418 Å).
Lines closer than 0.1° are merged.

Largest 10 diffraction maxima, by angle, 15° ≤ 2θ ≤ 90°:
2θ/deg, Rel. int., (hkl)
22.3, 9, 1 1 1
25.8, 2, 2 0 0
36.8, 100, 2 2 0
43.4, 5, 3 1 1
53.0, 18, 4 0 0
58.2, 2, 3 3 1
66.3, 36, 4 2 2
78.3, 11, 4 4 0
82.6, 2, 5 3 1
89.8, 17, 6 2 0

Structural model:
```
data_Ho2ZnOs
_symmetry_space_group_name_H-M 'F m -3 m'
_symmetry_Int_Tables_number 225
_symmetry_space_group_name_Hall '-F 4 2 3'
_cell_length_a 6.910
_cell_length_b 6.910
_cell_length_c 6.910
_cell_angle_alpha 90.00
_cell_angle_beta 90.00
_cell_angle_gamma 90.00
loop_
_atom_site_label
_atom_site_fract_x
_atom_site_fract_y
_atom_site_fract_z
_atom_site_occupancy
Ho1 0.250 0.250 0.250 1
Zn1 0.000 0.000 0.000 1
Os1 0.000 0.000 0.500 1
```

***

# 10
Diffraction record for HoZrOs2. The XRD peak list is calculated, not measured: it uses a DFT-relaxed cell (PBE, the Materials Project) and Cu Kα (λ = 1.5418 Å).
Lines closer than 0.1° are merged.

Largest 10 diffraction maxima, by angle, 15° ≤ 2θ ≤ 90°:
2θ/deg, Rel. int., (hkl)
23.1, 3, 1 1 1
26.7, 4, 2 0 0
38.1, 100, 2 2 0
45.0, 2, 3 1 1
47.1, 1, 2 2 2
55.0, 17, 4 0 0
62.2, 2, 4 2 0
68.9, 35, 4 2 2
81.5, 11, 4 4 0
87.7, 1, 6 0 0

Structural model:
```
data_HoZrOs2
_symmetry_space_group_name_H-M 'F m -3 m'
_symmetry_Int_Tables_number 225
_symmetry_space_group_name_Hall '-F 4 2 3'
_cell_length_a 6.678
_cell_length_b 6.678
_cell_length_c 6.678
_cell_angle_alpha 90.00
_cell_angle_beta 90.00
_cell_angle_gamma 90.00
loop_
_atom_site_label
_atom_site_fract_x
_atom_site_fract_y
_atom_site_fract_z
_atom_site_occupancy
Ho1 0.000 0.000 0.000 1
Zr1 0.000 0.000 0.500 1
Os1 0.250 0.250 0.250 1
```

***

# 11
Diffraction record for HoP. The XRD peak list is calculated, not measured: it uses a DFT-relaxed cell (PBE, the Materials Project) and Cu Kα (λ = 1.5418 Å).
Lines closer than 0.1° are merged.

Largest 9 diffraction maxima, by angle, 15° ≤ 2θ ≤ 90°:
2θ/deg, Rel. int., (hkl)
25.8, 58, 1 0 0
36.8, 100, 1 1 0
45.5, 18, 1 1 1
53.0, 17, 2 0 0
59.9, 24, 2 1 0
66.3, 35, 2 1 1
78.3, 11, 2 2 0
84.1, 11, 3 0 0
89.8, 17, 3 1 0

Structural model:
```
data_HoP
_symmetry_space_group_name_H-M 'P m -3 m'
_symmetry_Int_Tables_number 221
_symmetry_space_group_name_Hall '-P 4 2 3'
_cell_length_a 3.453
_cell_length_b 3.453
_cell_length_c 3.453
_cell_angle_alpha 90.00
_cell_angle_beta 90.00
_cell_angle_gamma 90.00
loop_
_atom_site_label
_atom_site_fract_x
_atom_site_fract_y
_atom_site_fract_z
_atom_site_occupancy
Ho1 0.000 0.000 0.000 1
P1 0.500 0.500 0.500 1
```